TbNd2Ho4Tm: theoretical powder diffractogram (λ = 1.5418 Å (Cu Kα)), based on a DFT-relaxed cell (PBE, Alexandria).
Neutral-atom scattering factors, no anomalous dispersion.

Cell and atoms:
Unit cell a=9.4986 b=9.4986 c=9.4986 alpha=138.09 beta=103.24 gamma=91.54
Positions (direct):
Tb  0.0000  0.0000  0.0000
Tb  0.5000  0.0000  0.5000
Nd  0.0000  0.5000  0.5000
Nd  0.5000  0.0000  0.0000
Nd  0.5000  0.5000  0.0000
Nd  0.5000  0.5000  0.5000
Ho  0.2442  0.2490  0.9952
Ho  0.2449  0.2439  0.4990
Ho  0.2449  0.7458  0.0010
Ho  0.2462  0.7510  0.4952
Ho  0.7538  0.2490  0.5048
Ho  0.7551  0.2542  0.9990
Ho  0.7551  0.7561  0.5010
Ho  0.7558  0.7510  0.0048
Tm  0.0000  0.0000  0.5000
Tm  0.0000  0.5000  0.0000

Largest 6 diffraction maxima, in order of rising 2θ, 5° ≤ 2θ ≤ 70°:
d (Å)	I_rel
3.313	45
2.946	100
2.201	88
1.701	20
1.513	27
1.444	23

=====

RbNaAu4: theoretical powder diffractogram (λ = 1.5418 Å (Cu Kα)), based on a DFT-relaxed cell (PBE, Alexandria).
Neutral-atom scattering factors, no anomalous dispersion.

Cell and atoms:
Unit cell a=5.7843 b=5.7843 c=5.7843 alpha=60.00 beta=60.00 gamma=60.00
Positions (direct):
Rb  0.0000  0.0000  0.0000
Na  0.2500  0.2500  0.2500
Au  0.1266  0.6245  0.6245
Au  0.6245  0.1266  0.6245
Au  0.6245  0.6245  0.1266
Au  0.6245  0.6245  0.6245

Largest 6 diffraction maxima, in order of rising 2θ, 5° ≤ 2θ ≤ 70°:
d (Å)	I_rel
4.723	75
2.466	100
2.361	82
2.045	30
1.574	34
1.446	34

=====

SrMgAu3: theoretical powder diffractogram (λ = 1.5418 Å (Cu Kα)), based on a DFT-relaxed cell (PBE, Alexandria).
Neutral-atom scattering factors, no anomalous dispersion.

Cell and atoms:
Unit cell a=6.7694 b=6.7694 c=12.5107 alpha=90.00 beta=90.00 gamma=120.00
Positions (direct):
Sr  0.0000  0.0000  0.0000
Sr  0.0000  0.0000  0.5000
Sr  0.3333  0.6667  0.2500
Sr  0.6667  0.3333  0.7500
Mg  0.3333  0.6667  0.6390
Mg  0.3333  0.6667  0.8610
Mg  0.6667  0.3333  0.1390
Mg  0.6667  0.3333  0.3610
Au  0.0000  0.5000  0.0000
Au  0.0000  0.5000  0.5000
Au  0.1373  0.2746  0.7500
Au  0.1373  0.8627  0.7500
Au  0.2746  0.1373  0.2500
Au  0.5000  0.0000  0.0000
Au  0.5000  0.0000  0.5000
Au  0.5000  0.5000  0.0000
Au  0.5000  0.5000  0.5000
Au  0.7254  0.8627  0.7500
Au  0.8627  0.1373  0.2500
Au  0.8627  0.7254  0.2500

Largest 6 diffraction maxima, in order of rising 2θ, 5° ≤ 2θ ≤ 70°:
d (Å)	I_rel
4.278	28
3.128	46
2.854	31
2.654	100
2.398	24
1.699	26